Diffraction record for La6C3F2. The powder X-ray diffraction pattern is calculated, not measured: it uses a crystal structure in Alexandria, relaxed with PBE and Cu Kα.

The 6 most intense peaks (10° ≤ 2θ ≤ 90°), in order of rising 2θ:
| two_theta | I_rel |
| --- | --- |
| 27.76 | 33 |
| 28.70 | 100 |
| 32.99 | 97 |
| 46.74 | 31 |
| 47.95 | 35 |
| 56.31 | 28 |

Unit cell a=6.5716 b=6.5716 c=6.7910 alpha=99.30 beta=99.30 gamma=119.98
Positions (direct):
La (0.0705, 0.4086, 0.2251)
La (0.2541, 0.2541, 0.7779)
La (0.4086, 0.0705, 0.2251)
La (0.5914, 0.9295, 0.7749)
La (0.7459, 0.7459, 0.2221)
La (0.9295, 0.5914, 0.7749)
C (0.0000, 0.0000, 0.0000)
C (0.3310, 0.6690, 0.0000)
C (0.6690, 0.3310, 0.0000)
F (0.1663, 0.8337, 0.5000)
F (0.8337, 0.1663, 0.5000)